Structure and simulated PXRD pattern of Mn6BiPO12 (a cell relaxed with GGA+U; Cu Kα (weighted mean of Kα1 and Kα2)).

Atomic structure:
```
data_Mn6BiPO12
_space_group_name_H-M_alt 'P 1'
_space_group_IT_number 1
_cell_length_a 6.9551
_cell_length_b 6.9551
_cell_length_c 6.9551
_cell_angle_alpha 60.00
_cell_angle_beta 60.00
_cell_angle_gamma 60.00
loop_
_space_group_symop_operation_xyz
'x,y,z'
loop_
_atom_site_label
_atom_site_type_symbol
_atom_site_fract_x
_atom_site_fract_y
_atom_site_fract_z
Mn1 Mn 0.2464 0.2464 0.7536
Mn2 Mn 0.2464 0.7536 0.2464
Mn3 Mn 0.2464 0.7536 0.7536
Mn4 Mn 0.7536 0.2464 0.2464
Mn5 Mn 0.7536 0.2464 0.7536
Mn6 Mn 0.7536 0.7536 0.2464
Bi1 Bi 0.2500 0.2500 0.2500
P1 P 0.7500 0.7500 0.7500
O1 O 0.1079 0.1079 0.1079
O2 O 0.1079 0.1079 0.6764
O3 O 0.1079 0.6764 0.1079
O4 O 0.3960 0.3960 0.3960
O5 O 0.3960 0.3960 0.8120
O6 O 0.3960 0.8120 0.3960
O7 O 0.4774 0.8409 0.8409
O8 O 0.6764 0.1079 0.1079
O9 O 0.8120 0.3960 0.3960
O10 O 0.8409 0.4774 0.8409
O11 O 0.8409 0.8409 0.4774
O12 O 0.8409 0.8409 0.8409
```

Principal peaks in the range 5 to 70 degrees two-theta, by intensity:
| d [Å] | intensity |
| --- | --- |
| 2.839 | 100 |
| 1.739 | 47 |
| 5.679 | 41 |
| 1.483 | 37 |
| 2.257 | 28 |
| 2.459 | 25 |
| 2.966 | 18 |
| 3.478 | 15 |
| 1.893 | 14 |
| 1.663 | 13 |